Sr2TbBiO5: simulated powder diffraction line list (a wavelength of 1.5418 Å), based on DFT lattice parameters and positions (PBE).
Lines closer than 0.1° are merged.

Top 8 peaks for 10 to 90 degrees two-theta, most intense first:
2θ 29.3, d 3.051, rel. 100
2θ 32.3, d 2.773, rel. 66
2θ 13.8, d 6.422, rel. 57
2θ 26.4, d 3.379, rel. 41
2θ 30.6, d 2.919, rel. 40
2θ 46.3, d 1.961, rel. 40
2θ 24.4, d 3.653, rel. 39
2θ 43.9, d 2.064, rel. 34

Crystal structure
Cell lengths 7.2294, 7.2294, 12.8444 Å; angles 90.00, 90.00, 151.34 degrees
Sites, in units of the cell vectors:
Sr  0.0644  0.9356  0.5000
Sr  0.1655  0.8345  0.0885
Sr  0.8345  0.1655  0.5885
Sr  0.9356  0.0644  0.0000
Tb  0.2553  0.7447  0.8497
Tb  0.7447  0.2553  0.3497
Bi  0.4561  0.5439  0.2758
Bi  0.5439  0.4561  0.7758
O  0.0880  0.9120  0.8771
O  0.2426  0.7574  0.4789
O  0.2649  0.7351  0.2432
O  0.4136  0.5864  0.8674
O  0.4697  0.5303  0.6098
O  0.5303  0.4697  0.1098
O  0.5864  0.4136  0.3674
O  0.7351  0.2649  0.7432
O  0.7574  0.2426  0.9789
O  0.9120  0.0880  0.3771